No. 1
Diffraction record for Sr3NbB2O8. The PXRD pattern is computed, not measured: it uses a crystal structure in Alexandria, relaxed with GGA-PBE and copper Kα.
Neutral-atom scattering factors, no anomalous dispersion.

Principal peaks in the range 2θ = 10–80°, sorted by position:
- 19.19°, I = 16.5, hkl 1 0 0
- 23.16°, I = 26.9, hkl 1 0 1
- 32.39°, I = 98.6, hkl 0 1 2
- 33.56°, I = 100.0, hkl 1 1 0
- 41.17°, I = 31.1, hkl 0 2 1
- 47.33°, I = 53.6, hkl 2 0 2
- 59.26°, I = 32.4, hkl 1 2 2
- 60.00°, I = 17.6, hkl 3 0 0
- 70.52°, I = 16.9, hkl 2 2 0
- 79.76°, I = 15.4, hkl 3 1 2

Structure:
Unit cell a=5.3414 b=5.3414 c=6.8937 alpha=90.00 beta=90.00 gamma=120.00
Space group P-3m1 (No. 164)
One atom of each set of equivalent atoms:
Sr 0.0000 0.0000 0.0000
Sr 0.3333 0.6667 0.6927
Nb 0.0000 0.0000 0.5000
B 0.3333 0.6667 0.2334
O 0.1799 0.3598 0.3207
O 0.3333 0.6667 0.0313

***

No. 2
Diffraction record for NbTlB2O6. The PXRD pattern is computed, not measured: it uses a crystal structure in Alexandria, relaxed with GGA-PBE and copper Kα.
Neutral-atom scattering factors, no anomalous dispersion.

Principal peaks in the range 2θ = 10–80°, sorted by position:
- 14.85°, I = 43.6, hkl 0 1 1
- 18.47°, I = 44.2, hkl 0 0 2
- 23.38°, I = 51.1, hkl 0 2 0
- 23.82°, I = 40.2, hkl 2 0 1
- 26.58°, I = 100.0, hkl 2 1 1
- 28.81°, I = 34.1, hkl 2 0 2
- 29.96°, I = 43.6, hkl 0 2 2
- 30.28°, I = 56.6, hkl 0 1 3
- 37.43°, I = 34.0, hkl 2 2 2
- 45.62°, I = 22.8, hkl 0 3 3

Structure:
Unit cell a=8.111 b=7.610 c=9.607 alpha=90.00 beta=90.00 gamma=90.00
Space group Pna2_1 (No. 33)
One atom of each set of equivalent atoms:
Nb 0.166 0.244 0.000
Tl 0.035 0.743 0.884
B 0.228 0.582 0.212
B 0.247 0.910 0.211
O 0.057 0.772 0.499
O 0.177 0.440 0.137
O 0.184 0.421 0.840
O 0.208 0.057 0.138
O 0.213 0.064 0.844
O 0.214 0.747 0.147

***

No. 3
Diffraction record for Nb2B2Os. The PXRD pattern is computed, not measured: it uses a crystal structure in Alexandria, relaxed with GGA-PBE and copper Kα.
Neutral-atom scattering factors, no anomalous dispersion.

Principal peaks in the range 2θ = 10–80°, sorted by position:
- 21.20°, I = 56.3, hkl 1 1 0
- 33.59°, I = 80.7, hkl 1 1 2
- 33.81°, I = 30.6, hkl 2 1 0
- 40.06°, I = 100.0, hkl 2 0 2
- 42.98°, I = 41.7, hkl 2 1 2
- 43.17°, I = 30.5, hkl 2 2 0
- 48.57°, I = 52.7, hkl 3 1 0
- 52.93°, I = 15.8, hkl 0 0 4
- 73.04°, I = 24.7, hkl 3 3 2
- 74.66°, I = 20.1, hkl 3 1 4

Structure:
Unit cell a=5.928 b=5.928 c=6.919 alpha=90.00 beta=90.00 gamma=90.00
Space group P4/mnc (No. 128)
One atom of each set of equivalent atoms:
Nb 0.164 0.314 0.000
B 0.114 0.614 0.250
Os 0.000 0.000 0.279

***

No. 4
Diffraction record for Nb2BOs. The PXRD pattern is computed, not measured: it uses a crystal structure in Alexandria, relaxed with GGA-PBE and copper Kα.
Neutral-atom scattering factors, no anomalous dispersion.

Principal peaks in the range 2θ = 10–80°, sorted by position:
- 23.15°, I = 11.5, hkl 2 0 0
- 32.97°, I = 24.2, hkl 2 2 0
- 33.38°, I = 100.0, hkl 2 1 1
- 37.00°, I = 14.0, hkl 3 1 0
- 41.02°, I = 24.9, hkl 3 0 1
- 45.37°, I = 26.5, hkl 1 1 2
- 47.62°, I = 9.6, hkl 3 2 1
- 53.32°, I = 23.0, hkl 4 2 0
- 57.21°, I = 17.8, hkl 3 1 2
- 64.38°, I = 18.8, hkl 4 3 1

Structure:
Unit cell a=7.684 b=7.684 c=4.300 alpha=90.00 beta=90.00 gamma=90.00
Space group I-42d (No. 122)
One atom of each set of equivalent atoms:
Nb 0.130 0.250 0.125
B 0.000 0.000 0.000
Os 0.000 0.000 0.500

***

No. 5
Diffraction record for Nb4BP. The PXRD pattern is computed, not measured: it uses a crystal structure in Alexandria, relaxed with GGA-PBE and copper Kα.
Neutral-atom scattering factors, no anomalous dispersion.

Principal peaks in the range 2θ = 10–80°, sorted by position:
- 30.25°, I = 13.7, hkl 2 0 0
- 35.08°, I = 23.3, hkl 0 0 2
- 38.33°, I = 100.0, hkl 2 1 1
- 41.38°, I = 8.3, hkl 1 1 2
- 46.98°, I = 17.8, hkl 2 0 2
- 48.73°, I = 14.8, hkl 3 1 0
- 65.09°, I = 20.0, hkl 2 1 3
- 67.92°, I = 17.6, hkl 4 1 1
- 74.12°, I = 8.4, hkl 0 0 4
- 78.13°, I = 11.8, hkl 3 3 2

Structure:
Unit cell a=5.909 b=5.909 c=5.116 alpha=90.00 beta=90.00 gamma=90.00
Space group P4/mcc (No. 124)
One atom of each set of equivalent atoms:
Nb 0.155 0.321 0.000
B 0.000 0.000 0.250
P 0.500 0.500 0.250